# 1
This entry pairs a crystal structure of Li2TaFe with its calculated PXRD pattern. Radiation: Cu Ka. Structure: a cell relaxed with PBE.
No peak broadening, texture or thermal motion is included.

Main lines, by angle (2θ = 10–80°):
Position (°2θ), I_rel
22.82, 29
27.44, 18
27.84, 36
36.86, 31
38.35, 47
41.69, 100
42.52, 25
43.57, 22
46.82, 45
57.51, 17

Crystal structure
```
Li2TaFe
1.0
4.2521 0.0000 0.0000
0.0000 2.9402 0.0000
0.0000 0.0000 9.7528
Li Ta Fe
4 2 2
Direct
0.2500 0.0000 0.1019
0.2500 0.5000 0.8269
0.7500 0.0000 0.8981
0.7500 0.5000 0.1731
0.2500 0.5000 0.3815
0.7500 0.5000 0.6185
0.2500 0.0000 0.5972
0.7500 0.0000 0.4028
```


# 2
This entry pairs a crystal structure of Li4Zn10Fe with its calculated PXRD pattern. Radiation: Cu Ka. Structure: a cell relaxed with PBE.
No peak broadening, texture or thermal motion is included.

Main lines, by angle (2θ = 10–80°):
Position (°2θ), I_rel
23.75, 82
33.04, 61
41.09, 95
41.72, 100
41.83, 50
54.22, 71
54.37, 14
59.97, 19
75.69, 14
76.30, 15

Crystal structure
```
Li4Zn10Fe
1.0
5.8319 -3.7532 0.0000
5.8319 3.7532 0.0000
-0.9287 0.0000 5.0203
Li Zn Fe
4 10 1
Direct
0.1017 0.1017 0.4012
0.2998 0.2998 0.1915
0.7002 0.7002 0.8085
0.8983 0.8983 0.5988
0.0719 0.7318 0.1029
0.1390 0.4706 0.6995
0.2682 0.9281 0.8971
0.3388 0.6612 0.5000
0.4706 0.1390 0.6995
0.5294 0.8610 0.3005
0.6612 0.3388 0.5000
0.7318 0.0719 0.1029
0.8610 0.5294 0.3005
0.9281 0.2682 0.8971
0.5000 0.5000 0.0000
```


# 3
This entry pairs a crystal structure of LuFe2 with its calculated PXRD pattern. Radiation: Cu Ka. Structure: a cell relaxed with PBE.
No peak broadening, texture or thermal motion is included.

Main lines, by angle (2θ = 10–80°):
Position (°2θ), I_rel
21.56, 21
35.57, 72
41.98, 100
43.94, 12
51.19, 2
56.17, 6
63.89, 27
68.27, 30
75.31, 22
79.42, 5

Crystal structure
```
LuFe2
1.0
0.0000 3.5692 3.5692
3.5692 0.0000 3.5692
3.5692 3.5692 0.0000
Lu Fe
2 4
Direct
0.1250 0.1250 0.1250
0.8750 0.8750 0.8750
0.0000 0.5000 0.5000
0.5000 0.0000 0.5000
0.5000 0.5000 0.0000
0.5000 0.5000 0.5000
```


# 4
This entry pairs a crystal structure of LuFe10Mo2 with its calculated PXRD pattern. Radiation: Cu Ka. Structure: a cell relaxed with PBE.
No peak broadening, texture or thermal motion is included.

Main lines, by angle (2θ = 10–80°):
Position (°2θ), I_rel
36.85, 36
37.12, 40
38.11, 24
42.31, 23
42.77, 100
42.93, 50
43.80, 31
43.91, 46
49.05, 22
72.13, 23

Crystal structure
```
LuFe10Mo2
1.0
-2.3614 4.2314 4.2728
2.3614 -4.2314 4.2728
2.3614 4.2314 -4.2728
Lu Fe Mo
1 10 2
Direct
0.0000 0.0000 0.0000
0.0000 0.0000 0.5000
0.0000 0.5000 0.0000
0.2132 0.5000 0.7132
0.2249 0.7249 0.5000
0.3563 0.0000 0.3563
0.5000 0.0000 0.0000
0.5000 0.5000 0.5000
0.6437 0.0000 0.6437
0.7751 0.2751 0.5000
0.7868 0.5000 0.2868
0.3565 0.3565 0.0000
0.6435 0.6435 0.0000
```


What did the fourth record say?
This entry pairs a crystal structure of LuFe10Mo2 with its calculated PXRD pattern. Radiation: Cu Ka. Structure: a cell relaxed with PBE.
No peak broadening, texture or thermal motion is included.

Main lines, by angle (2θ = 10–80°):
Position (°2θ), I_rel
36.85, 36
37.12, 40
38.11, 24
42.31, 23
42.77, 100
42.93, 50
43.80, 31
43.91, 46
49.05, 22
72.13, 23

Crystal structure
```
LuFe10Mo2
1.0
-2.3614 4.2314 4.2728
2.3614 -4.2314 4.2728
2.3614 4.2314 -4.2728
Lu Fe Mo
1 10 2
Direct
0.0000 0.0000 0.0000
0.0000 0.0000 0.5000
0.0000 0.5000 0.0000
0.2132 0.5000 0.7132
0.2249 0.7249 0.5000
0.3563 0.0000 0.3563
0.5000 0.0000 0.0000
0.5000 0.5000 0.5000
0.6437 0.0000 0.6437
0.7751 0.2751 0.5000
0.7868 0.5000 0.2868
0.3565 0.3565 0.0000
0.6435 0.6435 0.0000
```


Question: Which formula does entry 4 have?
Answer: LuFe10Mo2